(1)
This entry pairs a crystal structure of Cs3Hg20 with its computed XRD peak list. Radiation: λ = 1.5418 Å (Cu Kα). Structure: a crystal structure in Alexandria, relaxed with PBE.

Top 6 peaks for 10° ≤ 2θ ≤ 80°, in order of falling intensity:
2θ/deg, I (rel.)
30.94, 100
35.59, 85
38.14, 61
27.83, 55
28.90, 48
36.46, 41

```
Cs3Hg20
1.0
11.559 0.000 0.000
0.000 11.559 0.000
0.000 0.000 11.559
Cs Hg
6 40
Direct
0.000 0.250 0.500 Cs
0.000 0.750 0.500 Cs
0.250 0.500 0.000 Cs
0.500 0.000 0.250 Cs
0.500 0.000 0.750 Cs
0.750 0.500 0.000 Cs
0.000 0.000 0.000 Hg
0.000 0.255 0.135 Hg
0.000 0.255 0.865 Hg
0.000 0.500 0.250 Hg
0.000 0.500 0.750 Hg
0.000 0.745 0.135 Hg
0.000 0.745 0.865 Hg
0.135 0.000 0.255 Hg
0.135 0.000 0.745 Hg
0.245 0.500 0.365 Hg
0.245 0.500 0.635 Hg
0.250 0.000 0.500 Hg
0.250 0.250 0.250 Hg
0.250 0.250 0.750 Hg
0.250 0.750 0.250 Hg
0.250 0.750 0.750 Hg
0.255 0.135 0.000 Hg
0.255 0.865 0.000 Hg
0.365 0.245 0.500 Hg
0.365 0.755 0.500 Hg
0.500 0.250 0.000 Hg
0.500 0.365 0.245 Hg
0.500 0.365 0.755 Hg
0.500 0.500 0.500 Hg
0.500 0.635 0.245 Hg
0.500 0.635 0.755 Hg
0.500 0.750 0.000 Hg
0.635 0.245 0.500 Hg
0.635 0.755 0.500 Hg
0.745 0.135 0.000 Hg
0.745 0.865 0.000 Hg
0.750 0.000 0.500 Hg
0.750 0.250 0.250 Hg
0.750 0.250 0.750 Hg
0.750 0.750 0.250 Hg
0.750 0.750 0.750 Hg
0.755 0.500 0.365 Hg
0.755 0.500 0.635 Hg
0.865 0.000 0.255 Hg
0.865 0.000 0.745 Hg
```

---

(2)
This entry pairs a crystal structure of CsHg6 with its computed XRD peak list. Radiation: λ = 1.5418 Å (Cu Kα). Structure: a crystal structure in Alexandria, relaxed with PBE.

Top 6 peaks for 10° ≤ 2θ ≤ 80°, in order of falling intensity:
2θ/deg, I (rel.)
33.87, 100
29.78, 77
26.89, 77
32.93, 70
40.45, 40
25.57, 37

```
CsHg6
1.0
7.052 0.000 0.000
0.000 7.052 0.000
0.000 0.000 9.735
Cs Hg
2 12
Direct
0.250 0.750 0.000 Cs
0.750 0.250 0.000 Cs
0.085 0.585 0.367 Hg
0.085 0.915 0.633 Hg
0.250 0.250 0.180 Hg
0.250 0.250 0.820 Hg
0.415 0.585 0.633 Hg
0.415 0.915 0.367 Hg
0.585 0.085 0.633 Hg
0.585 0.415 0.367 Hg
0.750 0.750 0.180 Hg
0.750 0.750 0.820 Hg
0.915 0.085 0.367 Hg
0.915 0.415 0.633 Hg
```

---

(3)
This entry pairs a crystal structure of Cs3Hg8 with its computed XRD peak list. Radiation: λ = 1.5418 Å (Cu Kα). Structure: a crystal structure in Alexandria, relaxed with PBE.

Top 6 peaks for 10° ≤ 2θ ≤ 80°, in order of falling intensity:
2θ/deg, I (rel.)
26.44, 100
36.98, 52
26.12, 47
33.01, 47
35.24, 40
34.86, 33

```
Cs3Hg8
1.0
-2.547 2.714 16.079
2.547 -2.714 16.079
2.547 2.714 -16.079
Cs Hg
3 8
Direct
0.000 0.000 0.000 Cs
0.349 0.849 0.500 Cs
0.651 0.151 0.500 Cs
0.098 0.598 0.500 Hg
0.196 0.696 0.500 Hg
0.251 0.251 0.000 Hg
0.451 0.451 0.000 Hg
0.549 0.549 0.000 Hg
0.749 0.749 0.000 Hg
0.804 0.304 0.500 Hg
0.902 0.402 0.500 Hg
```

---

(4)
This entry pairs a crystal structure of Cs5Hg19 with its computed XRD peak list. Radiation: λ = 1.5418 Å (Cu Kα). Structure: a crystal structure in Alexandria, relaxed with PBE.

Top 6 peaks for 10° ≤ 2θ ≤ 80°, in order of falling intensity:
2θ/deg, I (rel.)
32.35, 100
27.82, 93
28.86, 73
46.41, 34
39.59, 30
15.83, 26

```
Cs5Hg19
1.0
-6.188 6.188 5.598
6.188 -6.188 5.598
6.188 6.188 -5.598
Cs Hg
5 19
Direct
0.000 0.000 0.000 Cs
0.177 0.620 0.796 Cs
0.380 0.177 0.557 Cs
0.620 0.823 0.443 Cs
0.823 0.380 0.204 Cs
0.027 0.843 0.590 Hg
0.109 0.201 0.747 Hg
0.157 0.747 0.184 Hg
0.201 0.454 0.092 Hg
0.250 0.750 0.500 Hg
0.253 0.437 0.410 Hg
0.362 0.109 0.908 Hg
0.437 0.027 0.184 Hg
0.454 0.362 0.253 Hg
0.500 0.500 0.000 Hg
0.546 0.638 0.747 Hg
0.563 0.973 0.816 Hg
0.638 0.891 0.092 Hg
0.747 0.563 0.590 Hg
0.750 0.250 0.500 Hg
0.799 0.546 0.908 Hg
0.843 0.253 0.816 Hg
0.891 0.799 0.253 Hg
0.973 0.157 0.410 Hg
```

---

(5)
This entry pairs a crystal structure of CsHg4 with its computed XRD peak list. Radiation: λ = 1.5418 Å (Cu Kα). Structure: a crystal structure in Alexandria, relaxed with PBE.

Top 6 peaks for 10° ≤ 2θ ≤ 80°, in order of falling intensity:
2θ/deg, I (rel.)
31.38, 100
27.37, 72
28.82, 64
39.49, 54
43.12, 43
44.98, 38

```
CsHg4
1.0
5.701 0.000 0.000
0.000 5.701 0.000
0.000 0.000 11.073
Cs Hg
2 8
Direct
0.000 0.000 0.000 Cs
0.500 0.500 0.500 Cs
0.000 0.000 0.363 Hg
0.000 0.000 0.637 Hg
0.000 0.500 0.250 Hg
0.000 0.500 0.750 Hg
0.500 0.000 0.250 Hg
0.500 0.000 0.750 Hg
0.500 0.500 0.137 Hg
0.500 0.500 0.863 Hg
```

---

(6)
This entry pairs a crystal structure of Cs5Hg with its computed XRD peak list. Radiation: λ = 1.5418 Å (Cu Kα). Structure: a crystal structure in Alexandria, relaxed with PBE.

Top 6 peaks for 10° ≤ 2θ ≤ 80°, in order of falling intensity:
2θ/deg, I (rel.)
24.02, 100
23.27, 98
20.42, 80
28.21, 71
20.25, 44
25.18, 39

```
Cs5Hg
1.0
-5.002 5.002 11.032
5.002 -5.002 11.032
5.002 5.002 -11.032
Cs Hg
10 2
Direct
0.000 0.000 0.000 Cs
0.019 0.519 0.851 Cs
0.168 0.019 0.500 Cs
0.332 0.832 0.851 Cs
0.481 0.332 0.500 Cs
0.500 0.500 0.000 Cs
0.519 0.668 0.500 Cs
0.668 0.168 0.149 Cs
0.832 0.981 0.500 Cs
0.981 0.481 0.149 Cs
0.250 0.250 0.000 Hg
0.750 0.750 0.000 Hg
```

---

(7)
This entry pairs a crystal structure of CsHg8 with its computed XRD peak list. Radiation: λ = 1.5418 Å (Cu Kα). Structure: a crystal structure in Alexandria, relaxed with PBE.

Top 6 peaks for 10° ≤ 2θ ≤ 80°, in order of falling intensity:
2θ/deg, I (rel.)
30.16, 100
34.76, 32
50.43, 23
59.49, 22
35.37, 18
60.30, 14

```
CsHg8
1.0
-5.474 5.474 2.538
5.474 -5.474 2.538
5.474 5.474 -2.538
Cs Hg
1 8
Direct
0.000 0.000 0.000 Cs
0.000 0.349 0.349 Hg
0.000 0.651 0.651 Hg
0.315 0.315 0.630 Hg
0.315 0.685 0.000 Hg
0.349 0.000 0.349 Hg
0.651 0.000 0.651 Hg
0.685 0.315 0.000 Hg
0.685 0.685 0.370 Hg
```

---

(8)
This entry pairs a crystal structure of CsHoHgI6 with its computed XRD peak list. Radiation: λ = 1.5418 Å (Cu Kα). Structure: a crystal structure in Alexandria, relaxed with PBE.

Top 6 peaks for 10° ≤ 2θ ≤ 80°, in order of falling intensity:
2θ/deg, I (rel.)
23.42, 100
10.64, 84
29.46, 80
17.74, 76
33.71, 64
15.88, 57

```
CsHoHgI6
1.0
7.747 0.000 0.000
3.866 7.329 0.000
1.059 -0.003 8.316
Cs Ho Hg I
1 1 1 6
Direct
0.000 0.000 0.000 Cs
0.337 0.332 0.500 Ho
0.637 0.730 0.498 Hg
0.030 0.410 0.774 I
0.324 0.031 0.321 I
0.410 0.602 0.697 I
0.564 0.412 0.226 I
0.652 0.030 0.676 I
0.994 0.601 0.302 I
```

---

(9)
This entry pairs a crystal structure of Cs2Hg3I8 with its computed XRD peak list. Radiation: λ = 1.5418 Å (Cu Kα). Structure: a crystal structure in Alexandria, relaxed with PBE.

Top 6 peaks for 10° ≤ 2θ ≤ 80°, in order of falling intensity:
2θ/deg, I (rel.)
23.99, 100
24.89, 47
23.11, 41
38.54, 38
12.95, 37
11.49, 26

```
Cs2Hg3I8
1.0
3.800 -11.363 0.000
3.800 11.363 0.000
-2.719 0.000 7.701
Cs Hg I
2 3 8
Direct
0.135 0.865 0.000 Cs
0.865 0.135 0.000 Cs
0.155 0.539 0.627 Hg
0.187 0.187 0.517 Hg
0.539 0.155 0.627 Hg
0.134 0.743 0.498 I
0.256 0.256 0.869 I
0.309 0.688 0.986 I
0.335 0.527 0.443 I
0.527 0.335 0.443 I
0.688 0.309 0.986 I
0.743 0.134 0.498 I
0.861 0.861 0.237 I
```

---

(10)
This entry pairs a crystal structure of CsInHg2I4 with its computed XRD peak list. Radiation: λ = 1.5418 Å (Cu Kα). Structure: a crystal structure in Alexandria, relaxed with PBE.

Top 6 peaks for 10° ≤ 2θ ≤ 80°, in order of falling intensity:
2θ/deg, I (rel.)
25.05, 100
21.96, 84
25.62, 76
28.10, 64
26.18, 50
19.01, 48

```
CsInHg2I4
1.0
7.612 0.000 0.000
-0.239 8.100 0.000
-2.120 -3.789 6.867
Cs In Hg I
1 1 2 4
Direct
0.000 0.000 0.000 Cs
0.823 0.240 0.532 In
0.341 0.478 0.131 Hg
0.481 0.762 0.617 Hg
0.118 0.048 0.549 I
0.551 0.987 0.191 I
0.728 0.369 0.867 I
0.939 0.536 0.482 I
```

---

(11)
This entry pairs a crystal structure of Cs2LiHg2I6 with its computed XRD peak list. Radiation: λ = 1.5418 Å (Cu Kα). Structure: a crystal structure in Alexandria, relaxed with PBE.

Top 6 peaks for 10° ≤ 2θ ≤ 80°, in order of falling intensity:
2θ/deg, I (rel.)
22.23, 100
24.04, 61
20.47, 59
28.25, 46
31.66, 44
41.63, 41

```
Cs2LiHg2I6
1.0
7.518 -4.339 0.000
7.518 4.339 0.000
-4.735 0.000 7.988
Cs Li Hg I
2 1 2 6
Direct
0.224 0.224 0.209 Cs
0.776 0.776 0.791 Cs
0.000 0.000 0.500 Li
0.459 0.459 0.823 Hg
0.541 0.541 0.177 Hg
0.173 0.725 0.222 I
0.238 0.238 0.634 I
0.275 0.827 0.778 I
0.725 0.173 0.222 I
0.762 0.762 0.366 I
0.827 0.275 0.778 I
```

---

(12)
This entry pairs a crystal structure of Cs2MnHg2I4 with its computed XRD peak list. Radiation: λ = 1.5418 Å (Cu Kα). Structure: a crystal structure in Alexandria, relaxed with PBE.

Top 6 peaks for 10° ≤ 2θ ≤ 80°, in order of falling intensity:
2θ/deg, I (rel.)
27.21, 100
28.40, 64
49.57, 33
40.60, 22
29.39, 20
46.31, 19

```
Cs2MnHg2I4
1.0
-4.444 4.444 4.851
4.444 -4.444 4.851
4.444 4.444 -4.851
Cs Mn Hg I
2 1 2 4
Direct
0.250 0.750 0.500 Cs
0.750 0.250 0.500 Cs
0.000 0.000 0.000 Mn
0.307 0.307 0.000 Hg
0.693 0.693 0.000 Hg
0.226 0.226 0.452 I
0.226 0.774 0.000 I
0.774 0.226 0.000 I
0.774 0.774 0.548 I
```